The following is a simulated X-ray diffraction stick pattern of Li3V5O12. It was derived from a cell relaxed with PBE+U, using Cu Kα X-rays.
Intensities are scaled so that the largest is 100.

Cell and atoms:
```
Li3V5O12
1.0
5.0503 0.0000 0.0000
-0.0605 5.3668 0.0000
-0.0601 -0.7040 7.3802
Li V O
3 5 12
direct
0.0000 0.0000 0.0000
0.0116 0.9995 0.4975
0.5113 0.5018 0.5040
0.0164 0.4369 0.2962
0.5004 0.9323 0.7679
0.5054 0.5260 0.9999
0.5108 0.9443 0.2829
0.9949 0.4217 0.7850
0.1399 0.3928 0.0423
0.1997 0.0804 0.7386
0.2008 0.7052 0.3657
0.3188 0.2009 0.3637
0.3330 0.5964 0.7556
0.3769 0.8916 0.0604
0.6298 0.8973 0.5508
0.6812 0.5838 0.2372
0.6850 0.2105 0.8726
0.7927 0.7103 0.8755
0.8150 0.0881 0.2462
0.8929 0.3960 0.5543
```

The 10 most intense peaks (10 to 90 degrees two-theta), sorted by position:
2θ (°), I/Imax, (hkl)
24.11, 100.0, 1 -1 0
24.40, 50.7, 1 1 0
33.29, 65.8, 1 1 -2
33.55, 30.4, 0 2 0
35.39, 18.9, -1 1 2
40.85, 19.8, -1 2 1
40.97, 27.9, 2 1 -1
49.38, 34.8, 0 0 4
54.24, 23.1, 1 -1 4
54.46, 24.4, 1 -3 0